Record 1
# Hf2Ga3Co
Simulated powder diffraction line list, Cu Kα, 1.54184 Å. Input: a cell relaxed with GGA-PBE.
Lines closer than 0.1° are merged.

Crystal structure
```
data_Hf2Ga3Co
_chemical_formula_sum 'Hf6 Ga9 Co3'
_cell_length_a 6.304
_cell_length_b 7.675
_cell_length_c 7.688
_cell_angle_alpha 64.03
_cell_angle_beta 66.56
_cell_angle_gamma 66.64
_space_group_name_H-M_alt 'P 1'
_space_group_IT_number 1
loop_
_space_group_symop_operation_xyz
'x,y,z'
loop_
_atom_site_label
_atom_site_type_symbol
_atom_site_fract_x
_atom_site_fract_y
_atom_site_fract_z
Hf1 Hf 0.000 0.000 0.000
Hf2 Hf 0.000 0.500 0.466
Hf3 Hf 0.444 0.713 0.710
Hf4 Hf 0.456 0.221 0.205
Hf5 Hf 0.542 0.451 0.429
Hf6 Hf 0.581 0.921 0.927
Ga1 Ga 0.216 0.345 0.853
Ga2 Ga 0.216 0.861 0.325
Ga3 Ga 0.330 0.629 0.111
Ga4 Ga 0.344 0.125 0.620
Ga5 Ga 0.667 0.307 0.796
Ga6 Ga 0.667 0.808 0.293
Ga7 Ga 0.950 0.257 0.215
Ga8 Ga 0.969 0.704 0.708
Ga9 Ga 0.973 0.086 0.590
Co1 Co 0.738 0.472 0.958
Co2 Co 0.759 0.975 0.454
Co3 Co 0.979 0.612 0.066
```

Largest 6 diffraction maxima, in order of rising 2θ, 2θ from 10° to 90°:
35.32 deg, intensity 50; 36.03 deg, intensity 57; 38.30 deg, intensity 100; 39.19 deg, intensity 87; 39.60 deg, intensity 80; 44.49 deg, intensity 65

***

Record 2
# HfGa2Co
Simulated powder diffraction line list, Cu Kα, 1.54184 Å. Input: a cell relaxed with GGA-PBE.
Lines closer than 0.1° are merged.

Crystal structure
```
data_HfGa2Co
_chemical_formula_sum 'Hf10 Ga20 Co10'
_cell_length_a 9.573
_cell_length_b 9.573
_cell_length_c 9.573
_cell_angle_alpha 100.41
_cell_angle_beta 100.41
_cell_angle_gamma 129.69
_space_group_name_H-M_alt 'P 1'
_space_group_IT_number 1
loop_
_space_group_symop_operation_xyz
'x,y,z'
loop_
_atom_site_label
_atom_site_type_symbol
_atom_site_fract_x
_atom_site_fract_y
_atom_site_fract_z
Hf1 Hf 0.000 0.000 0.000
Hf2 Hf 0.084 0.084 0.401
Hf3 Hf 0.084 0.683 0.000
Hf4 Hf 0.115 0.395 0.720
Hf5 Hf 0.395 0.115 0.720
Hf6 Hf 0.395 0.675 0.280
Hf7 Hf 0.466 0.466 0.000
Hf8 Hf 0.675 0.395 0.280
Hf9 Hf 0.683 0.084 0.000
Hf10 Hf 0.683 0.683 0.599
Ga1 Ga 0.097 0.097 0.738
Ga2 Ga 0.097 0.358 0.000
Ga3 Ga 0.255 0.871 0.384
Ga4 Ga 0.273 0.484 0.492
Ga5 Ga 0.273 0.781 0.789
Ga6 Ga 0.358 0.097 0.000
Ga7 Ga 0.358 0.358 0.262
Ga8 Ga 0.484 0.273 0.492
Ga9 Ga 0.484 0.992 0.211
Ga10 Ga 0.487 0.871 0.616
Ga11 Ga 0.558 0.721 0.838
Ga12 Ga 0.721 0.558 0.838
Ga13 Ga 0.721 0.883 0.162
Ga14 Ga 0.781 0.273 0.789
Ga15 Ga 0.781 0.992 0.508
Ga16 Ga 0.871 0.255 0.384
Ga17 Ga 0.871 0.487 0.616
Ga18 Ga 0.883 0.721 0.162
Ga19 Ga 0.992 0.484 0.211
Ga20 Ga 0.992 0.781 0.508
Co1 Co 0.031 0.247 0.216
Co2 Co 0.031 0.816 0.784
Co3 Co 0.121 0.621 0.500
Co4 Co 0.247 0.031 0.216
Co5 Co 0.375 0.375 0.675
Co6 Co 0.375 0.699 0.000
Co7 Co 0.621 0.121 0.500
Co8 Co 0.699 0.375 0.000
Co9 Co 0.699 0.699 0.325
Co10 Co 0.816 0.031 0.784
```

Largest 6 diffraction maxima, in order of rising 2θ, 2θ from 10° to 90°:
36.72 deg, intensity 75; 38.21 deg, intensity 90; 38.36 deg, intensity 100; 39.89 deg, intensity 54; 42.64 deg, intensity 49; 44.36 deg, intensity 38

***

Record 3
# Hf2Ga3Co
Simulated powder diffraction line list, Cu Kα, 1.54184 Å. Input: a cell relaxed with GGA-PBE.
Lines closer than 0.1° are merged.

Crystal structure
```
data_Hf2Ga3Co
_chemical_formula_sum 'Hf4 Ga6 Co2'
_cell_length_a 9.666
_cell_length_b 4.187
_cell_length_c 6.407
_cell_angle_alpha 90.00
_cell_angle_beta 130.87
_cell_angle_gamma 90.00
_space_group_name_H-M_alt 'P 1'
_space_group_IT_number 1
loop_
_space_group_symop_operation_xyz
'x,y,z'
loop_
_atom_site_label
_atom_site_type_symbol
_atom_site_fract_x
_atom_site_fract_y
_atom_site_fract_z
Hf1 Hf 0.000 0.000 0.000
Hf2 Hf 0.079 0.000 0.578
Hf3 Hf 0.500 0.500 0.000
Hf4 Hf 0.579 0.500 0.578
Ga1 Ga 0.206 0.500 0.395
Ga2 Ga 0.365 0.000 0.156
Ga3 Ga 0.395 0.000 0.622
Ga4 Ga 0.706 0.000 0.395
Ga5 Ga 0.865 0.500 0.156
Ga6 Ga 0.895 0.500 0.622
Co1 Co 0.212 0.500 0.006
Co2 Co 0.712 0.000 0.006
```

Largest 6 diffraction maxima, in order of rising 2θ, 2θ from 10° to 90°:
24.50 deg, intensity 40; 37.11 deg, intensity 28; 37.32 deg, intensity 87; 37.54 deg, intensity 100; 42.95 deg, intensity 68; 43.22 deg, intensity 47

***

Record 4
# HfGa5Co
Simulated powder diffraction line list, Cu Kα, 1.54184 Å. Input: a cell relaxed with GGA-PBE.
Lines closer than 0.1° are merged.

Crystal structure
```
data_HfGa5Co
_chemical_formula_sum 'Hf1 Ga5 Co1'
_cell_length_a 4.141
_cell_length_b 4.141
_cell_length_c 6.635
_cell_angle_alpha 90.00
_cell_angle_beta 90.00
_cell_angle_gamma 90.00
_space_group_name_H-M_alt 'P 1'
_space_group_IT_number 1
loop_
_space_group_symop_operation_xyz
'x,y,z'
loop_
_atom_site_label
_atom_site_type_symbol
_atom_site_fract_x
_atom_site_fract_y
_atom_site_fract_z
Hf1 Hf 0.000 0.000 0.000
Ga1 Ga 0.000 0.500 0.303
Ga2 Ga 0.000 0.500 0.697
Ga3 Ga 0.500 0.000 0.303
Ga4 Ga 0.500 0.000 0.697
Ga5 Ga 0.500 0.500 0.000
Co1 Co 0.000 0.000 0.500
```

Largest 6 diffraction maxima, in order of rising 2θ, 2θ from 10° to 90°:
21.46 deg, intensity 25; 33.45 deg, intensity 48; 41.12 deg, intensity 100; 43.72 deg, intensity 52; 61.33 deg, intensity 20; 78.53 deg, intensity 29

***

Record 5
# Ho8Ga3Co
Simulated powder diffraction line list, Cu Kα, 1.54184 Å. Input: a cell relaxed with GGA-PBE.
Lines closer than 0.1° are merged.

Crystal structure
```
data_Ho8Ga3Co
_chemical_formula_sum 'Ho16 Ga6 Co2'
_cell_length_a 9.977
_cell_length_b 9.977
_cell_length_c 6.842
_cell_angle_alpha 90.00
_cell_angle_beta 90.00
_cell_angle_gamma 120.00
_space_group_name_H-M_alt 'P 1'
_space_group_IT_number 1
loop_
_space_group_symop_operation_xyz
'x,y,z'
loop_
_atom_site_label
_atom_site_type_symbol
_atom_site_fract_x
_atom_site_fract_y
_atom_site_fract_z
Ho1 Ho 0.000 0.000 0.020
Ho2 Ho 0.000 0.000 0.520
Ho3 Ho 0.072 0.536 0.000
Ho4 Ho 0.173 0.346 0.300
Ho5 Ho 0.173 0.827 0.300
Ho6 Ho 0.333 0.667 0.621
Ho7 Ho 0.346 0.173 0.800
Ho8 Ho 0.464 0.536 0.000
Ho9 Ho 0.464 0.928 0.000
Ho10 Ho 0.536 0.072 0.500
Ho11 Ho 0.536 0.464 0.500
Ho12 Ho 0.654 0.827 0.300
Ho13 Ho 0.667 0.333 0.121
Ho14 Ho 0.827 0.173 0.800
Ho15 Ho 0.827 0.654 0.800
Ho16 Ho 0.928 0.464 0.500
Ga1 Ga 0.164 0.327 0.754
Ga2 Ga 0.164 0.836 0.754
Ga3 Ga 0.327 0.164 0.254
Ga4 Ga 0.673 0.836 0.754
Ga5 Ga 0.836 0.164 0.254
Ga6 Ga 0.836 0.673 0.254
Co1 Co 0.333 0.667 0.235
Co2 Co 0.667 0.333 0.735
```

Largest 6 diffraction maxima, in order of rising 2θ, 2θ from 10° to 90°:
30.33 deg, intensity 44; 31.72 deg, intensity 21; 33.41 deg, intensity 100; 33.77 deg, intensity 19; 36.01 deg, intensity 90; 62.05 deg, intensity 26